# 1
# LaPr2Cu2Si4Ni2
Theoretical X-ray powder pattern, CuKα. Input: a GGA-PBE-relaxed structure.
Kinematic intensities with the Lorentz-polarization factor, no thermal factor.

Structure:
```
11
Lattice="-2.0649 2.1068 11.7984 2.0649 -2.1068 11.7984 2.0649 2.1068 -11.7984" Properties=species:S:1:pos:R:3 pbc="T T T"
La 0.0000 0.0000 0.0000
Pr 2.0649 0.0000 3.5290
Pr 0.0000 2.1068 8.2695
Cu 0.0000 0.0000 5.8756
Cu 0.0000 0.0000 17.7212
Si 2.0649 0.0000 7.2051
Si 0.0000 0.0000 10.5707
Si 0.0000 0.0000 13.0261
Si 0.0000 2.1068 4.5933
Ni 2.0649 0.0000 9.5200
Ni 0.0000 2.1068 2.2784
```

Principal peaks in the range 2θ = 10–90°, most intense first:
d/Å  I (rel.)
2.636  100
3.656  19
2.107  16
1.297  16
2.065  15
1.625  13
2.213  12
1.475  11
1.904  9
1.319  9



# 2
# La2PrCu2Si4Ni2
Theoretical X-ray powder pattern, CuKα. Input: a GGA-PBE-relaxed structure.
Kinematic intensities with the Lorentz-polarization factor, no thermal factor.

Structure:
```
11
Lattice="-2.0764 2.0954 11.9144 2.0764 -2.0954 11.9144 2.0764 2.0954 -11.9144" Properties=species:S:1:pos:R:3 pbc="T T T"
La 0.0000 0.0000 3.6218
La 0.0000 0.0000 20.2070
Pr 2.0764 0.0000 0.0000
Cu 0.0000 0.0000 9.5783
Cu 0.0000 0.0000 14.2505
Si 0.0000 0.0000 7.1036
Si 2.0764 0.0000 10.7117
Si 0.0000 2.0954 1.2027
Si 0.0000 0.0000 16.7252
Ni 2.0764 0.0000 5.9333
Ni 0.0000 2.0954 5.9811
```

Principal peaks in the range 2θ = 10–90°, most intense first:
d/Å  I (rel.)
2.643  100
2.095  20
3.680  20
2.233  17
2.076  16
1.633  13
1.475  11
1.329  11
1.292  10
1.528  10